# 1
Theoretical PXRD pattern
Compound: HoCo3Ni2
Radiation: Cu Kα, 1.54184 Å
Structure: a DFT-relaxed cell (GGA-PBE, the Materials Project)
Kinematic intensities with the Lorentz-polarization factor, no thermal factor.

Main lines, low angle first (2θ from 5° to 70°):
d = 4.018 Å, I = 9
d = 2.898 Å, I = 53
d = 2.416 Å, I = 34
d = 2.092 Å, I = 33
d = 2.070 Å, I = 100
d = 2.009 Å, I = 28
d = 1.545 Å, I = 17
d = 1.472 Å, I = 14
d = 1.449 Å, I = 19
d = 1.395 Å, I = 6

```
HoCo3Ni2
1.0
4.8315 0.0000 0.0000
-2.4157 4.1842 0.0000
0.0000 0.0000 4.0183
Ho Co Ni
1 3 2
Cartesian
0.0000 0.0000 0.0000
-1.2079 2.0921 2.0092
2.4157 0.0000 2.0092
1.2079 2.0921 2.0092
0.0000 2.7894 0.0000
2.4157 1.3947 0.0000
```

***

# 2
Theoretical PXRD pattern
Compound: Ho2CoOs
Radiation: Cu Kα, 1.54184 Å
Structure: a DFT-relaxed cell (GGA-PBE, the Materials Project)
Kinematic intensities with the Lorentz-polarization factor, no thermal factor.

Main lines, low angle first (2θ from 5° to 70°):
d = 3.897 Å, I = 11
d = 3.375 Å, I = 2
d = 2.386 Å, I = 100
d = 2.035 Å, I = 6
d = 1.948 Å, I = 1
d = 1.687 Å, I = 17
d = 1.548 Å, I = 3
d = 1.509 Å, I = 1
d = 1.378 Å, I = 35

```
Ho2CoOs
1.0
6.7494 0.0000 0.0000
0.0000 6.7494 0.0000
0.0000 0.0000 6.7494
Ho Co Os
8 4 4
Cartesian
1.6874 1.6874 1.6874
1.6874 1.6874 5.0621
1.6874 5.0621 1.6874
1.6874 5.0621 5.0621
5.0621 1.6874 1.6874
5.0621 1.6874 5.0621
5.0621 5.0621 1.6874
5.0621 5.0621 5.0621
0.0000 0.0000 0.0000
0.0000 3.3747 3.3747
3.3747 0.0000 3.3747
3.3747 3.3747 0.0000
0.0000 0.0000 3.3747
0.0000 3.3747 0.0000
3.3747 0.0000 0.0000
3.3747 3.3747 3.3747
```

***

# 3
Theoretical PXRD pattern
Compound: HoCo3P2
Radiation: Cu Kα, 1.54184 Å
Structure: a DFT-relaxed cell (GGA-PBE, the Materials Project)
Kinematic intensities with the Lorentz-polarization factor, no thermal factor.

Main lines, low angle first (2θ from 5° to 70°):
d = 3.047 Å, I = 12
d = 2.934 Å, I = 9
d = 2.659 Å, I = 7
d = 2.493 Å, I = 7
d = 2.350 Å, I = 100
d = 2.294 Å, I = 9
d = 2.213 Å, I = 13
d = 1.847 Å, I = 19
d = 1.759 Å, I = 21
d = 1.670 Å, I = 7

```
HoCo3P2
1.0
3.6936 0.0000 0.0000
0.0000 10.5485 0.0000
0.0000 0.0000 12.1909
Ho Co P
6 18 12
Cartesian
0.9234 0.7046 2.5083
0.9234 2.6371 5.8152
0.9234 4.5697 2.5083
2.7702 5.9788 9.6826
2.7702 7.9114 6.3757
2.7702 9.8439 9.6826
0.9234 1.3629 8.6451
0.9234 2.6371 0.1773
0.9234 3.9114 8.6451
0.9234 5.7717 5.2533
0.9234 6.1512 12.1212
0.9234 7.9114 1.9406
0.9234 7.9114 8.5706
0.9234 9.6715 12.1212
0.9234 10.0510 5.2533
2.7702 0.4975 6.9377
2.7702 0.8770 0.0698
2.7702 2.6371 3.6204
2.7702 2.6371 10.2503
2.7702 4.3973 0.0698
2.7702 4.7768 6.9377
2.7702 6.6371 3.5458
2.7702 7.9114 12.0136
2.7702 9.1856 3.5458
0.9234 1.0336 10.8844
0.9234 4.2406 10.8844
0.9234 5.9182 7.5156
0.9234 7.9114 4.2026
0.9234 7.9114 10.7522
0.9234 9.9045 7.5156
2.7702 0.6440 4.6753
2.7702 2.6371 1.4387
2.7702 2.6371 7.9884
2.7702 4.6303 4.6753
2.7702 6.3079 1.3066
2.7702 9.5148 1.3066
```

***

# 4
Theoretical PXRD pattern
Compound: HoCoRu
Radiation: Cu Kα, 1.54184 Å
Structure: a DFT-relaxed cell (GGA-PBE, the Materials Project)
Kinematic intensities with the Lorentz-polarization factor, no thermal factor.

Main lines, low angle first (2θ from 5° to 70°):
d = 4.231 Å, I = 10
d = 2.595 Å, I = 54
d = 2.576 Å, I = 28
d = 2.223 Å, I = 52
d = 2.201 Å, I = 100
d = 2.114 Å, I = 30
d = 1.502 Å, I = 11
d = 1.493 Å, I = 10
d = 1.421 Å, I = 12
d = 1.403 Å, I = 23

```
HoCoRu
1.0
5.1490 0.0000 0.0000
0.0000 5.1602 0.0000
0.0000 0.0000 7.3926
Ho Co Ru
4 4 4
Cartesian
0.0000 1.2900 0.9298
0.0000 3.8701 6.4627
2.5745 1.2900 2.7665
2.5745 3.8701 4.6261
1.2872 1.2900 5.5444
1.2872 3.8701 1.8481
3.8617 1.2900 5.5444
3.8617 3.8701 1.8481
0.0000 0.0000 3.6963
0.0000 2.5801 3.6963
2.5745 0.0000 0.0000
2.5745 2.5801 0.0000
```

***

# 5
Theoretical PXRD pattern
Compound: Ho5CoSb2
Radiation: Cu Kα, 1.54184 Å
Structure: a DFT-relaxed cell (GGA-PBE, the Materials Project)
Kinematic intensities with the Lorentz-polarization factor, no thermal factor.

Main lines, low angle first (2θ from 5° to 70°):
d = 3.233 Å, I = 18
d = 2.836 Å, I = 100
d = 2.817 Å, I = 16
d = 2.778 Å, I = 53
d = 2.631 Å, I = 32
d = 2.556 Å, I = 18
d = 2.494 Å, I = 16
d = 2.316 Å, I = 9
d = 2.187 Å, I = 23
d = 1.731 Å, I = 12

```
Ho5CoSb2
1.0
12.1472 0.0000 0.0000
0.0000 8.7469 0.0000
0.0000 0.0000 7.8425
Ho Co Sb
20 4 8
Cartesian
0.0235 2.1867 0.3794
0.7954 4.7037 2.5354
0.7954 8.4166 2.5354
2.3417 2.1867 4.8846
2.4821 6.5602 5.1532
3.5916 2.1867 1.2320
3.7319 6.5602 0.9633
5.2782 0.3303 6.4567
5.2782 4.0431 6.4567
6.0501 6.5602 4.3007
6.0971 2.1867 3.5418
6.8690 4.7037 1.3859
6.8690 8.4166 1.3859
8.4153 2.1867 6.8792
8.5557 6.5602 6.6106
9.6652 2.1867 2.6893
9.8055 6.5602 2.9579
11.3518 0.3303 5.3071
11.3518 4.0431 5.3071
12.1237 6.5602 7.4631
0.1228 2.1867 3.3693
5.9508 6.5602 7.2905
6.1965 2.1867 0.5520
12.0244 6.5602 4.4733
2.0997 0.0724 7.2996
2.0997 4.3010 7.2996
3.9739 4.4459 3.3784
3.9739 8.6745 3.3784
8.1734 0.0724 4.4642
8.1734 4.3010 4.4642
10.0475 4.4459 0.5429
10.0475 8.6745 0.5429
```

***

# 6
Theoretical PXRD pattern
Compound: Ho2CoSi2
Radiation: Cu Kα, 1.54184 Å
Structure: a DFT-relaxed cell (GGA-PBE, the Materials Project)
Kinematic intensities with the Lorentz-polarization factor, no thermal factor.

Main lines, low angle first (2θ from 5° to 70°):
d = 3.758 Å, I = 69
d = 3.408 Å, I = 27
d = 3.269 Å, I = 49
d = 2.635 Å, I = 58
d = 2.609 Å, I = 47
d = 2.598 Å, I = 100
d = 2.559 Å, I = 63
d = 2.383 Å, I = 47
d = 2.144 Å, I = 39
d = 2.064 Å, I = 47

```
Ho2CoSi2
1.0
5.1966 -2.0640 0.0000
5.1966 2.0640 0.0000
-4.8279 0.0000 8.7081
Ho Co Si
4 2 4
Cartesian
-1.5729 0.0000 2.8670
1.4191 0.0000 0.9377
4.1463 0.0000 7.7704
7.1383 0.0000 5.8411
-0.1772 0.0000 5.4380
5.7425 0.0000 3.2701
1.5352 0.0000 3.7799
4.5205 0.0000 1.0925
1.0449 0.0000 7.6156
4.0302 0.0000 4.9282
```